KIn6Sn6: theoretical powder X-ray diffraction pattern (Cu Kα, 1.54184 Å), based on a crystal structure in Alexandria, relaxed with GGA-PBE.
Peak positions follow from Bragg's law for the DFT cell and can differ from measured ones.

abc: 8.1744 8.1744 8.1744
angles: 90.00 90.00 90.00
Fractional positions:
K 0.0000 0.0000 0.0000
In 0.0000 0.2519 0.5000
In 0.0000 0.7481 0.5000
In 0.2519 0.5000 0.0000
In 0.5000 0.0000 0.2519
In 0.5000 0.0000 0.7481
In 0.7481 0.5000 0.0000
Sn 0.0000 0.5000 0.2482
Sn 0.0000 0.5000 0.7518
Sn 0.2482 0.0000 0.5000
Sn 0.5000 0.2482 0.0000
Sn 0.5000 0.7518 0.0000
Sn 0.7518 0.0000 0.5000

The 12 most intense peaks (2θ = 15–90°), in order of rising 2θ:
- 2θ = 15.3°, I = 100
- 2θ = 21.7°, I = 32
- 2θ = 26.7°, I = 78
- 2θ = 30.9°, I = 19
- 2θ = 34.7°, I = 28
- 2θ = 38.1°, I = 73
- 2θ = 41.3°, I = 48
- 2θ = 44.3°, I = 40
- 2θ = 47.2°, I = 18
- 2θ = 57.5°, I = 20
- 2θ = 64.5°, I = 26
- 2θ = 77.4°, I = 28

=====

K2InSn2: theoretical powder X-ray diffraction pattern (Cu Kα, 1.54184 Å), based on a crystal structure in Alexandria, relaxed with GGA-PBE.
Peak positions follow from Bragg's law for the DFT cell and can differ from measured ones.

abc: 6.8137 6.8137 12.4612
angles: 117.50 117.50 45.20
Fractional positions:
K 0.0851 0.0851 0.3874
K 0.3239 0.3239 0.8145
K 0.6761 0.6761 0.1855
K 0.9149 0.9149 0.6126
In 0.3622 0.3622 0.1480
In 0.6378 0.6378 0.8520
Sn 0.0918 0.0918 0.9547
Sn 0.3801 0.3801 0.3972
Sn 0.6199 0.6199 0.6028
Sn 0.9082 0.9082 0.0453

The 12 most intense peaks (2θ = 15–90°), in order of rising 2θ:
- 2θ = 18.8°, I = 89
- 2θ = 27.6°, I = 52
- 2θ = 27.7°, I = 100
- 2θ = 30.0°, I = 42
- 2θ = 32.9°, I = 45
- 2θ = 34.3°, I = 73
- 2θ = 34.5°, I = 92
- 2θ = 36.2°, I = 27
- 2θ = 40.0°, I = 23
- 2θ = 41.7°, I = 25
- 2θ = 42.0°, I = 45
- 2θ = 48.2°, I = 31

=====

KIn3Sn: theoretical powder X-ray diffraction pattern (Cu Kα, 1.54184 Å), based on a crystal structure in Alexandria, relaxed with GGA-PBE.
Peak positions follow from Bragg's law for the DFT cell and can differ from measured ones.

abc: 4.8705 4.8705 6.9030
angles: 90.00 90.00 90.00
Fractional positions:
K 0.0000 0.0000 0.0000
In 0.0000 0.5000 0.4968
In 0.5000 0.0000 0.4968
In 0.5000 0.5000 0.7782
Sn 0.5000 0.5000 0.2231

The 12 most intense peaks (2θ = 15–90°), in order of rising 2θ:
- 2θ = 18.2°, I = 36
- 2θ = 29.0°, I = 62
- 2θ = 31.8°, I = 34
- 2θ = 36.9°, I = 100
- 2θ = 39.2°, I = 13
- 2θ = 41.5°, I = 9
- 2θ = 49.5°, I = 19
- 2θ = 53.2°, I = 15
- 2θ = 54.9°, I = 12
- 2θ = 61.7°, I = 14
- 2θ = 66.4°, I = 32
- 2θ = 74.0°, I = 8

=====

K2InSnTe4: theoretical powder X-ray diffraction pattern (Cu Kα, 1.54184 Å), based on a crystal structure in Alexandria, relaxed with GGA-PBE.
Peak positions follow from Bragg's law for the DFT cell and can differ from measured ones.

abc: 14.4175 12.6629 8.5853
angles: 83.08 60.68 36.24
Fractional positions:
K 0.0600 0.0600 0.6900
K 0.3100 0.3100 0.9400
K 0.6900 0.6900 0.0600
K 0.9400 0.9400 0.3100
In 0.1250 0.1250 0.1250
In 0.8750 0.8750 0.8750
Sn 0.3750 0.3750 0.3750
Sn 0.6250 0.6250 0.6250
Te 0.0599 0.3141 0.4064
Te 0.2804 0.5936 0.6859
Te 0.3141 0.0599 0.7196
Te 0.4064 0.7196 0.0599
Te 0.5936 0.2804 0.9401
Te 0.6859 0.9401 0.2804
Te 0.7196 0.4064 0.3141
Te 0.9401 0.6859 0.5936

The 12 most intense peaks (2θ = 15–90°), in order of rising 2θ:
- 2θ = 17.4°, I = 40
- 2θ = 22.8°, I = 28
- 2θ = 23.8°, I = 100
- 2θ = 27.2°, I = 29
- 2θ = 28.0°, I = 64
- 2θ = 33.2°, I = 78
- 2θ = 34.6°, I = 76
- 2θ = 37.6°, I = 46
- 2θ = 41.3°, I = 24
- 2θ = 42.9°, I = 48
- 2θ = 45.0°, I = 30
- 2θ = 46.7°, I = 24

=====

KSr2In: theoretical powder X-ray diffraction pattern (Cu Kα, 1.54184 Å), based on a crystal structure in Alexandria, relaxed with GGA-PBE.
Peak positions follow from Bragg's law for the DFT cell and can differ from measured ones.

abc: 8.7335 8.7335 8.7335
angles: 90.00 90.00 90.00
Fractional positions:
K 0.0000 0.0000 0.0000
K 0.0000 0.5000 0.5000
K 0.5000 0.0000 0.5000
K 0.5000 0.5000 0.0000
Sr 0.0000 0.0000 0.5000
Sr 0.0000 0.5000 0.0000
Sr 0.2500 0.2500 0.2500
Sr 0.2500 0.7500 0.7500
Sr 0.5000 0.0000 0.0000
Sr 0.5000 0.5000 0.5000
Sr 0.7500 0.2500 0.7500
Sr 0.7500 0.7500 0.2500
In 0.2500 0.2500 0.7500
In 0.2500 0.7500 0.2500
In 0.7500 0.2500 0.2500
In 0.7500 0.7500 0.7500

The 12 most intense peaks (2θ = 15–90°), in order of rising 2θ:
- 2θ = 17.6°, I = 6
- 2θ = 20.3°, I = 6
- 2θ = 28.9°, I = 100
- 2θ = 34.0°, I = 4
- 2θ = 41.4°, I = 19
- 2θ = 46.5°, I = 3
- 2θ = 51.2°, I = 39
- 2θ = 59.9°, I = 12
- 2θ = 67.9°, I = 16
- 2θ = 75.4°, I = 4
- 2θ = 82.7°, I = 19
- 2θ = 89.8°, I = 2

=====

KIn6Te8: theoretical powder X-ray diffraction pattern (Cu Kα, 1.54184 Å), based on a crystal structure in Alexandria, relaxed with GGA-PBE.
Peak positions follow from Bragg's law for the DFT cell and can differ from measured ones.

abc: 10.1448 10.1448 10.1448
angles: 60.00 60.00 60.00
Fractional positions:
K 0.0000 0.0000 0.0000
In 0.0000 0.0000 0.5000
In 0.0000 0.5000 0.0000
In 0.0000 0.5000 0.5000
In 0.5000 0.0000 0.0000
In 0.5000 0.0000 0.5000
In 0.5000 0.5000 0.0000
Te 0.1403 0.1403 0.1403
Te 0.1403 0.1403 0.5791
Te 0.1403 0.5791 0.1403
Te 0.4209 0.8597 0.8597
Te 0.5791 0.1403 0.1403
Te 0.8597 0.4209 0.8597
Te 0.8597 0.8597 0.4209
Te 0.8597 0.8597 0.8597

The 12 most intense peaks (2θ = 15–90°), in order of rising 2θ:
- 2θ = 20.5°, I = 30
- 2θ = 21.5°, I = 51
- 2θ = 27.1°, I = 45
- 2θ = 32.4°, I = 14
- 2θ = 35.4°, I = 100
- 2θ = 37.6°, I = 10
- 2θ = 41.8°, I = 29
- 2θ = 45.6°, I = 19
- 2θ = 48.8°, I = 17
- 2θ = 50.9°, I = 14
- 2θ = 52.2°, I = 16
- 2θ = 63.5°, I = 25

=====

K14In2Te9: theoretical powder X-ray diffraction pattern (Cu Kα, 1.54184 Å), based on a crystal structure in Alexandria, relaxed with GGA-PBE.
Peak positions follow from Bragg's law for the DFT cell and can differ from measured ones.

abc: 9.9152 9.9152 13.8847
angles: 90.00 90.00 120.00
Fractional positions:
K 0.0000 0.0000 0.2485
K 0.0000 0.0000 0.7515
K 0.0221 0.6710 0.4083
K 0.0568 0.3750 0.0941
K 0.3182 0.9432 0.0941
K 0.3290 0.3511 0.4083
K 0.3511 0.0221 0.5917
K 0.3750 0.3182 0.9059
K 0.6250 0.6818 0.0941
K 0.6489 0.9779 0.4083
K 0.6710 0.6489 0.5917
K 0.6818 0.0568 0.9059
K 0.9432 0.6250 0.9059
K 0.9779 0.3290 0.5917
In 0.3333 0.6667 0.7594
In 0.6667 0.3333 0.2406
Te 0.0000 0.0000 0.5000
Te 0.0568 0.3593 0.8380
Te 0.3025 0.9432 0.8380
Te 0.3333 0.6667 0.5345
Te 0.3593 0.3025 0.1620
Te 0.6407 0.6975 0.8380
Te 0.6667 0.3333 0.4655
Te 0.6975 0.0568 0.1620
Te 0.9432 0.6407 0.1620

The 12 most intense peaks (2θ = 15–90°), in order of rising 2θ:
- 2θ = 19.0°, I = 100
- 2θ = 19.2°, I = 39
- 2θ = 28.2°, I = 20
- 2θ = 31.2°, I = 75
- 2θ = 31.5°, I = 81
- 2θ = 36.9°, I = 42
- 2θ = 37.1°, I = 13
- 2θ = 38.3°, I = 15
- 2θ = 38.6°, I = 14
- 2θ = 44.9°, I = 22
- 2θ = 55.7°, I = 16
- 2θ = 57.3°, I = 15

=====

KInTe3: theoretical powder X-ray diffraction pattern (Cu Kα, 1.54184 Å), based on a crystal structure in Alexandria, relaxed with GGA-PBE.
Peak positions follow from Bragg's law for the DFT cell and can differ from measured ones.

abc: 7.2276 7.2276 7.2276
angles: 75.41 75.41 75.41
Fractional positions:
K 0.2500 0.2500 0.2500
K 0.7500 0.7500 0.7500
In 0.0000 0.0000 0.0000
In 0.5000 0.5000 0.5000
Te 0.1543 0.7500 0.3457
Te 0.2500 0.6543 0.8457
Te 0.3457 0.1543 0.7500
Te 0.6543 0.8457 0.2500
Te 0.7500 0.3457 0.1543
Te 0.8457 0.2500 0.6543

The 12 most intense peaks (2θ = 15–90°), in order of rising 2θ:
- 2θ = 16.4°, I = 58
- 2θ = 26.0°, I = 21
- 2θ = 26.6°, I = 100
- 2θ = 31.5°, I = 27
- 2θ = 33.1°, I = 70
- 2θ = 35.1°, I = 53
- 2θ = 40.8°, I = 33
- 2θ = 43.0°, I = 43
- 2θ = 44.3°, I = 23
- 2θ = 52.4°, I = 24
- 2θ = 57.7°, I = 24
- 2θ = 65.7°, I = 22

=====

KTl2In2Te4: theoretical powder X-ray diffraction pattern (Cu Kα, 1.54184 Å), based on a crystal structure in Alexandria, relaxed with GGA-PBE.
Peak positions follow from Bragg's law for the DFT cell and can differ from measured ones.

abc: 9.4693 9.4693 8.2395
angles: 107.55 107.55 30.61
Fractional positions:
K 0.0000 0.0000 0.0000
Tl 0.1136 0.1136 0.5529
Tl 0.8864 0.8864 0.4471
In 0.3247 0.3247 0.9991
In 0.6753 0.6753 0.0009
Te 0.2129 0.2129 0.1967
Te 0.4646 0.4646 0.2720
Te 0.5354 0.5354 0.7280
Te 0.7871 0.7871 0.8033

The 12 most intense peaks (2θ = 15–90°), in order of rising 2θ:
- 2θ = 22.5°, I = 55
- 2θ = 25.4°, I = 30
- 2θ = 26.4°, I = 46
- 2θ = 28.2°, I = 100
- 2θ = 29.3°, I = 40
- 2θ = 30.5°, I = 48
- 2θ = 33.8°, I = 28
- 2θ = 35.9°, I = 47
- 2θ = 37.8°, I = 36
- 2θ = 39.5°, I = 20
- 2θ = 45.1°, I = 22
- 2θ = 50.8°, I = 23

=====

K2TlIn2Te4: theoretical powder X-ray diffraction pattern (Cu Kα, 1.54184 Å), based on a crystal structure in Alexandria, relaxed with GGA-PBE.
Peak positions follow from Bragg's law for the DFT cell and can differ from measured ones.

abc: 9.2116 9.2116 8.2247
angles: 106.56 106.56 32.28
Fractional positions:
K 0.1200 0.1200 0.0384
K 0.8800 0.8800 0.9616
Tl 0.0000 0.0000 0.5000
In 0.3327 0.3327 0.4974
In 0.6673 0.6673 0.5026
Te 0.2096 0.2096 0.6879
Te 0.4723 0.4723 0.7714
Te 0.5277 0.5277 0.2286
Te 0.7904 0.7904 0.3121

The 12 most intense peaks (2θ = 15–90°), in order of rising 2θ:
- 2θ = 20.5°, I = 62
- 2θ = 23.9°, I = 61
- 2θ = 26.8°, I = 46
- 2θ = 27.9°, I = 70
- 2θ = 28.1°, I = 69
- 2θ = 29.3°, I = 83
- 2θ = 30.9°, I = 58
- 2θ = 35.0°, I = 77
- 2θ = 36.1°, I = 100
- 2θ = 36.9°, I = 33
- 2θ = 51.9°, I = 31
- 2θ = 59.9°, I = 32

=====

KZnIn2Te4: theoretical powder X-ray diffraction pattern (Cu Kα, 1.54184 Å), based on a crystal structure in Alexandria, relaxed with GGA-PBE.
Peak positions follow from Bragg's law for the DFT cell and can differ from measured ones.

abc: 7.2752 7.2752 11.8339
angles: 90.00 90.00 90.00
Fractional positions:
K 0.0000 0.0000 0.0000
K 0.5000 0.5000 0.5000
Zn 0.0000 0.0000 0.5000
Zn 0.5000 0.5000 0.0000
In 0.0000 0.5000 0.2500
In 0.0000 0.5000 0.7500
In 0.5000 0.0000 0.2500
In 0.5000 0.0000 0.7500
Te 0.2115 0.2115 0.3694
Te 0.2115 0.7885 0.6306
Te 0.2885 0.2885 0.8694
Te 0.2885 0.7115 0.1306
Te 0.7115 0.2885 0.1306
Te 0.7115 0.7115 0.8694
Te 0.7885 0.2115 0.6306
Te 0.7885 0.7885 0.3694

The 12 most intense peaks (2θ = 15–90°), in order of rising 2θ:
- 2θ = 22.9°, I = 100
- 2θ = 28.5°, I = 10
- 2θ = 34.9°, I = 27
- 2θ = 35.8°, I = 6
- 2θ = 39.2°, I = 47
- 2θ = 42.1°, I = 30
- 2θ = 45.6°, I = 6
- 2θ = 49.5°, I = 12
- 2θ = 50.2°, I = 7
- 2θ = 52.4°, I = 6
- 2θ = 62.0°, I = 8
- 2θ = 65.5°, I = 11

=====

KZn2InTe4: theoretical powder X-ray diffraction pattern (Cu Kα, 1.54184 Å), based on a crystal structure in Alexandria, relaxed with GGA-PBE.
Peak positions follow from Bragg's law for the DFT cell and can differ from measured ones.

abc: 7.1918 8.6521 9.3686
angles: 90.00 90.00 90.00
Fractional positions:
K 0.0000 0.0000 0.0000
K 0.5000 0.5000 0.5000
Zn 0.0000 0.5000 0.1684
Zn 0.0000 0.5000 0.8316
Zn 0.5000 0.0000 0.3316
Zn 0.5000 0.0000 0.6684
In 0.0000 0.0000 0.5000
In 0.5000 0.5000 0.0000
Te 0.2328 0.1876 0.3276
Te 0.2328 0.8124 0.6724
Te 0.2672 0.3124 0.8276
Te 0.2672 0.6876 0.1724
Te 0.7328 0.3124 0.1724
Te 0.7328 0.6876 0.8276
Te 0.7672 0.1876 0.6724
Te 0.7672 0.8124 0.3276

The 12 most intense peaks (2θ = 15–90°), in order of rising 2θ:
- 2θ = 24.9°, I = 100
- 2θ = 25.8°, I = 45
- 2θ = 28.1°, I = 15
- 2θ = 31.4°, I = 18
- 2θ = 32.4°, I = 55
- 2θ = 38.7°, I = 15
- 2θ = 41.3°, I = 17
- 2θ = 41.9°, I = 29
- 2θ = 43.7°, I = 23
- 2θ = 44.8°, I = 20
- 2θ = 50.0°, I = 20
- 2θ = 69.1°, I = 15

=====

What did the second record say?
K2InSn2: theoretical powder X-ray diffraction pattern (Cu Kα, 1.54184 Å), based on a crystal structure in Alexandria, relaxed with GGA-PBE.
Peak positions follow from Bragg's law for the DFT cell and can differ from measured ones.

abc: 6.8137 6.8137 12.4612
angles: 117.50 117.50 45.20
Fractional positions:
K 0.0851 0.0851 0.3874
K 0.3239 0.3239 0.8145
K 0.6761 0.6761 0.1855
K 0.9149 0.9149 0.6126
In 0.3622 0.3622 0.1480
In 0.6378 0.6378 0.8520
Sn 0.0918 0.0918 0.9547
Sn 0.3801 0.3801 0.3972
Sn 0.6199 0.6199 0.6028
Sn 0.9082 0.9082 0.0453

The 12 most intense peaks (2θ = 15–90°), in order of rising 2θ:
- 2θ = 18.8°, I = 89
- 2θ = 27.6°, I = 52
- 2θ = 27.7°, I = 100
- 2θ = 30.0°, I = 42
- 2θ = 32.9°, I = 45
- 2θ = 34.3°, I = 73
- 2θ = 34.5°, I = 92
- 2θ = 36.2°, I = 27
- 2θ = 40.0°, I = 23
- 2θ = 41.7°, I = 25
- 2θ = 42.0°, I = 45
- 2θ = 48.2°, I = 31